No. 1
For Tb2PmSm6Tm, a structure optimized by DFT (GGA-PBE) gives the simulated powder diffractogram in this record (Cu Kα (weighted mean of Kα1 and Kα2)).
Intensities are scaled so that the largest is 100.

Cell and atoms:
a b c (Å): 9.1979 15.2429 9.6292
angles (deg): 90.00 97.19 90.00
Space group C2/c (No. 15)
Symmetry-distinct sites (fractional):
Tb 0.2477 0.0509 0.4543 [8 per cell]
Pm 0.0000 0.4750 0.2500 [4 per cell]
Sm 0.0613 0.3172 0.9448 [8 per cell]
Sm 0.1001 0.1085 0.1184 [8 per cell]
Sm 0.2111 0.2767 0.3134 [8 per cell]
Tm 0.0000 0.0893 0.7500 [4 per cell]

Main lines, in order of rising 2θ (5° ≤ 2θ ≤ 70°):
- 28.27°, intensity 64, (1 3 2)
- 30.27°, intensity 91, (3 1 -1)
- 30.42°, intensity 76, (0 2 3)
- 30.93°, intensity 70, (1 5 0)
- 31.05°, intensity 100, (2 2 2)
- 31.26°, intensity 60, (2 4 -1)
- 31.98°, intensity 33, (1 5 -1)
- 33.62°, intensity 71, (1 3 -3)

***

No. 2
For CuI2O6, a structure optimized by DFT (GGA-PBE) gives the simulated powder diffractogram in this record (Cu Kα (weighted mean of Kα1 and Kα2)).
Intensities are scaled so that the largest is 100.

Cell and atoms:
a b c (Å): 5.6591 5.3087 9.3014
angles (deg): 90.00 97.77 90.00
Space group P2_1 (No. 4)
Symmetry-distinct sites (fractional):
Cu 0.2181 0.0000 0.2453 [2 per cell]
I 0.2586 0.9054 0.9012 [2 per cell]
I 0.2678 0.3953 0.5650 [2 per cell]
O 0.0260 0.2008 0.6154 [2 per cell]
O 0.0899 0.6771 0.7712 [2 per cell]
O 0.1309 0.8052 0.0655 [2 per cell]
O 0.3605 0.1941 0.4167 [2 per cell]
O 0.4561 0.2401 0.0795 [2 per cell]
O 0.4972 0.7758 0.2916 [2 per cell]

Main lines, in order of rising 2θ (5° ≤ 2θ ≤ 70°):
- 24.18°, intensity 100, (1 1 -1)
- 25.60°, intensity 79, (0 1 2)
- 25.87°, intensity 97, (1 1 1)
- 31.25°, intensity 38, (1 0 -3)
- 31.92°, intensity 33, (2 0 0)
- 35.16°, intensity 29, (1 0 3)
- 39.15°, intensity 34, (2 1 -2)
- 47.15°, intensity 30, (2 2 0)

***

No. 3
For VReSe4, a structure optimized by DFT (GGA-PBE) gives the simulated powder diffractogram in this record (Cu Kα (weighted mean of Kα1 and Kα2)).
Intensities are scaled so that the largest is 100.

Cell and atoms:
a b c (Å): 14.5546 3.2517 5.8607
angles (deg): 90.00 100.66 90.00
Space group Cm (No. 8)
Symmetry-distinct sites (fractional):
V 0.0000 0.0000 0.0000 [2 per cell]
Re 0.4885 0.0000 0.6136 [2 per cell]
Se 0.0899 0.0000 0.4222 [2 per cell]
Se 0.1218 0.5000 0.9514 [2 per cell]
Se 0.3655 0.5000 0.6726 [2 per cell]
Se 0.3989 0.0000 0.1838 [2 per cell]

Main lines, in order of rising 2θ (5° ≤ 2θ ≤ 70°):
- 12.38°, intensity 100, (2 0 0)
- 15.38°, intensity 13, (0 0 1)
- 35.37°, intensity 51, (3 1 -1)
- 35.70°, intensity 23, (2 0 2)
- 42.85°, intensity 12, (5 1 -1)
- 43.65°, intensity 10, (6 0 1)
- 47.17°, intensity 20, (5 1 1)
- 54.88°, intensity 10, (1 1 -3)

***

No. 4
For Lu6Cu23, a structure optimized by DFT (GGA-PBE) gives the simulated powder diffractogram in this record (Cu Kα (weighted mean of Kα1 and Kα2)).
Intensities are scaled so that the largest is 100.

Cell and atoms:
a b c (Å): 12.0324 12.0324 12.0324
angles (deg): 90.00 90.00 90.00
Space group Fm-3m (No. 225)
Symmetry-distinct sites (fractional):
Lu 0.0000 0.0000 0.2139 [24 per cell]
Cu 0.0000 0.0000 0.5000 [4 per cell]
Cu 0.0000 0.2500 0.2500 [24 per cell]
Cu 0.1221 0.1221 0.3779 [32 per cell]
Cu 0.1719 0.1719 0.1719 [32 per cell]

Main lines, in order of rising 2θ (5° ≤ 2θ ≤ 70°):
- 25.65°, intensity 21, (2 2 2)
- 29.70°, intensity 14, (4 0 0)
- 32.43°, intensity 14, (3 3 1)
- 36.59°, intensity 25, (4 2 2)
- 38.89°, intensity 65, (3 3 3)
- 42.50°, intensity 100, (4 4 0)
- 45.22°, intensity 13, (6 0 0)
- 65.87°, intensity 15, (8 2 2)

***

No. 5
For YAl2Os, a structure optimized by DFT (GGA-PBE) gives the simulated powder diffractogram in this record (Cu Kα (weighted mean of Kα1 and Kα2)).
Intensities are scaled so that the largest is 100.

Cell and atoms:
a b c (Å): 7.5117 4.3426 5.5799
angles (deg): 90.00 116.52 90.00
Space group Cm (No. 8)
Symmetry-distinct sites (fractional):
Y 0.0000 0.0000 0.0000 [2 per cell]
Al 0.0384 0.5000 0.6152 [2 per cell]
Al 0.3005 0.5000 0.4014 [2 per cell]
Os 0.1921 0.0000 0.5766 [2 per cell]

Main lines, in order of rising 2θ (5° ≤ 2θ ≤ 70°):
- 17.77°, intensity 38, (0 0 1)
- 24.42°, intensity 100, (1 1 0)
- 26.54°, intensity 34, (2 0 0)
- 33.79°, intensity 41, (1 1 1)
- 35.98°, intensity 21, (0 0 2)
- 38.43°, intensity 69, (2 0 1)
- 41.62°, intensity 69, (0 2 0)
- 56.13°, intensity 24, (3 1 1)

***

No. 6
For Ta6ZnN, a structure optimized by DFT (GGA-PBE) gives the simulated powder diffractogram in this record (Cu Kα (weighted mean of Kα1 and Kα2)).
Intensities are scaled so that the largest is 100.

Cell and atoms:
a b c (Å): 5.6063 5.6088 5.9496
angles (deg): 118.01 90.08 119.97
Space group P-1 (No. 2)
Symmetry-distinct sites (fractional):
Ta 0.0116 0.4434 0.2308 [2 per cell]
Ta 0.2126 0.2020 0.7689 [2 per cell]
Ta 0.4336 0.2197 0.2300 [2 per cell]
Zn 0.5000 0.0000 0.5000 [1 per cell]
N 0.0000 0.0000 0.0000 [1 per cell]

Main lines, in order of rising 2θ (5° ≤ 2θ ≤ 70°):
- 30.12°, intensity 10, (0 1 -2)
- 31.91°, intensity 17, (1 -2 1)
- 35.95°, intensity 25, (0 0 2)
- 36.75°, intensity 100, (-2 1 1)
- 37.52°, intensity 12, (2 -2 1)
- 48.80°, intensity 15, (-1 2 1)
- 50.06°, intensity 10, (3 -2 0)
- 56.87°, intensity 13, (3 -3 1)